This entry pairs a crystal structure of Rb3NbF12 with its simulated X-ray diffraction stick pattern. Radiation: λ = 1.5418 Å (Cu Kα). Structure: the PBE geometry in Alexandria.
Peak positions follow from Bragg's law for the DFT cell and can differ from measured ones.

```
data_Rb3NbF12
_symmetry_space_group_name_H-M 'P 1'
_symmetry_Int_Tables_number 1
_cell_length_a 8.050
_cell_length_b 8.050
_cell_length_c 7.226
_cell_angle_alpha 90.65
_cell_angle_beta 90.65
_cell_angle_gamma 118.35
loop_
_symmetry_equiv_pos_as_xyz
'x,y,z'
loop_
_atom_site_label
_atom_site_type_symbol
_atom_site_fract_x
_atom_site_fract_y
_atom_site_fract_z
Rb1 Rb 0.000 0.000 0.000
Rb2 Rb 0.000 0.500 0.500
Rb3 Rb 0.500 0.000 0.500
Nb1 Nb 0.000 0.000 0.500
F1 F 0.055 0.227 0.334
F2 F 0.058 0.231 0.668
F3 F 0.096 0.586 0.004
F4 F 0.227 0.055 0.334
F5 F 0.231 0.058 0.668
F6 F 0.414 0.904 0.996
F7 F 0.586 0.096 0.004
F8 F 0.769 0.942 0.332
F9 F 0.773 0.945 0.666
F10 F 0.904 0.414 0.996
F11 F 0.942 0.769 0.332
F12 F 0.945 0.773 0.666
```

Main lines, low angle first (10° ≤ 2θ ≤ 90°):
2theta  Rel. int.
12.25  24
12.50  100
24.64  21
25.14  40
35.15  17
35.96  25



This entry pairs a crystal structure of Rb2NbF6 with its simulated X-ray diffraction stick pattern. Radiation: λ = 1.5418 Å (Cu Kα). Structure: the PBE geometry in Alexandria.
Peak positions follow from Bragg's law for the DFT cell and can differ from measured ones.

```
data_Rb2NbF6
_symmetry_space_group_name_H-M 'P 1'
_symmetry_Int_Tables_number 1
_cell_length_a 6.282
_cell_length_b 6.282
_cell_length_c 4.745
_cell_angle_alpha 90.00
_cell_angle_beta 90.00
_cell_angle_gamma 120.00
loop_
_symmetry_equiv_pos_as_xyz
'x,y,z'
loop_
_atom_site_label
_atom_site_type_symbol
_atom_site_fract_x
_atom_site_fract_y
_atom_site_fract_z
Rb1 Rb 0.333 0.667 0.201
Rb2 Rb 0.667 0.333 0.799
Nb1 Nb 0.000 0.000 0.500
F1 F 0.159 0.319 0.718
F2 F 0.159 0.841 0.718
F3 F 0.319 0.159 0.282
F4 F 0.681 0.841 0.718
F5 F 0.841 0.159 0.282
F6 F 0.841 0.681 0.282
```

Main lines, low angle first (10° ≤ 2θ ≤ 90°):
2theta  Rel. int.
24.90  100
28.41  65
38.13  78
41.52  26
48.23  29
51.08  23



This entry pairs a crystal structure of RbNbF4 with its simulated X-ray diffraction stick pattern. Radiation: λ = 1.5418 Å (Cu Kα). Structure: the PBE geometry in Alexandria.
Peak positions follow from Bragg's law for the DFT cell and can differ from measured ones.

```
data_RbNbF4
_symmetry_space_group_name_H-M 'P 1'
_symmetry_Int_Tables_number 1
_cell_length_a 7.302
_cell_length_b 7.302
_cell_length_c 5.087
_cell_angle_alpha 108.14
_cell_angle_beta 108.14
_cell_angle_gamma 58.78
loop_
_symmetry_equiv_pos_as_xyz
'x,y,z'
loop_
_atom_site_label
_atom_site_type_symbol
_atom_site_fract_x
_atom_site_fract_y
_atom_site_fract_z
Rb1 Rb 0.178 0.178 0.340
Rb2 Rb 0.822 0.822 0.660
Nb1 Nb 0.465 0.465 0.207
Nb2 Nb 0.535 0.535 0.793
F1 F 0.225 0.575 0.468
F2 F 0.261 0.739 0.000
F3 F 0.302 0.302 0.953
F4 F 0.425 0.775 0.532
F5 F 0.575 0.225 0.468
F6 F 0.698 0.698 0.047
F7 F 0.739 0.261 0.000
F8 F 0.775 0.425 0.532
```

Main lines, low angle first (10° ≤ 2θ ≤ 90°):
2theta  Rel. int.
14.43  75
24.85  41
25.72  100
38.69  49
41.19  22
44.29  31



This entry pairs a crystal structure of Rb3NbF8 with its simulated X-ray diffraction stick pattern. Radiation: λ = 1.5418 Å (Cu Kα). Structure: the PBE geometry in Alexandria.
Peak positions follow from Bragg's law for the DFT cell and can differ from measured ones.

```
data_Rb3NbF8
_symmetry_space_group_name_H-M 'P 1'
_symmetry_Int_Tables_number 1
_cell_length_a 6.076
_cell_length_b 6.076
_cell_length_c 6.076
_cell_angle_alpha 90.00
_cell_angle_beta 90.00
_cell_angle_gamma 90.00
loop_
_symmetry_equiv_pos_as_xyz
'x,y,z'
loop_
_atom_site_label
_atom_site_type_symbol
_atom_site_fract_x
_atom_site_fract_y
_atom_site_fract_z
Rb1 Rb 0.000 0.000 0.500
Rb2 Rb 0.000 0.500 0.000
Rb3 Rb 0.500 0.000 0.000
Nb1 Nb 0.500 0.500 0.500
F1 F 0.303 0.303 0.303
F2 F 0.303 0.303 0.697
F3 F 0.303 0.697 0.303
F4 F 0.303 0.697 0.697
F5 F 0.697 0.303 0.303
F6 F 0.697 0.303 0.697
F7 F 0.697 0.697 0.303
F8 F 0.697 0.697 0.697
```

Main lines, low angle first (10° ≤ 2θ ≤ 90°):
2theta  Rel. int.
25.39  100
29.40  20
42.06  59
49.77  41
67.15  21
69.14  14



This entry pairs a crystal structure of Rb2NbSF6 with its simulated X-ray diffraction stick pattern. Radiation: λ = 1.5418 Å (Cu Kα). Structure: the PBE geometry in Alexandria.
Peak positions follow from Bragg's law for the DFT cell and can differ from measured ones.

```
data_Rb2NbSF6
_symmetry_space_group_name_H-M 'P 1'
_symmetry_Int_Tables_number 1
_cell_length_a 7.124
_cell_length_b 7.124
_cell_length_c 7.124
_cell_angle_alpha 121.31
_cell_angle_beta 121.31
_cell_angle_gamma 87.74
loop_
_symmetry_equiv_pos_as_xyz
'x,y,z'
loop_
_atom_site_label
_atom_site_type_symbol
_atom_site_fract_x
_atom_site_fract_y
_atom_site_fract_z
Rb1 Rb 0.250 0.750 0.500
Rb2 Rb 0.750 0.250 0.500
Nb1 Nb 0.000 0.000 0.000
S1 S 0.500 0.500 0.000
F1 F 0.190 0.190 0.000
F2 F 0.197 0.197 0.395
F3 F 0.197 0.803 0.000
F4 F 0.803 0.197 0.000
F5 F 0.803 0.803 0.605
F6 F 0.810 0.810 0.000
```

Main lines, low angle first (10° ≤ 2θ ≤ 90°):
2theta  Rel. int.
15.34  43
25.02  100
25.52  47
36.40  35
44.68  33
51.34  20



This entry pairs a crystal structure of NbS2F5 with its simulated X-ray diffraction stick pattern. Radiation: λ = 1.5418 Å (Cu Kα). Structure: the PBE geometry in Alexandria.
Peak positions follow from Bragg's law for the DFT cell and can differ from measured ones.

```
data_NbS2F5
_symmetry_space_group_name_H-M 'P 1'
_symmetry_Int_Tables_number 1
_cell_length_a 6.783
_cell_length_b 6.783
_cell_length_c 6.783
_cell_angle_alpha 96.53
_cell_angle_beta 95.78
_cell_angle_gamma 141.77
loop_
_symmetry_equiv_pos_as_xyz
'x,y,z'
loop_
_atom_site_label
_atom_site_type_symbol
_atom_site_fract_x
_atom_site_fract_y
_atom_site_fract_z
Nb1 Nb 0.000 0.000 0.000
S1 S 0.214 0.714 0.500
S2 S 0.644 0.144 0.500
F1 F 0.046 0.047 0.287
F2 F 0.046 0.758 0.999
F3 F 0.429 0.429 0.000
F4 F 0.759 0.047 0.001
F5 F 0.759 0.758 0.713
```

Main lines, low angle first (10° ≤ 2θ ≤ 90°):
2theta  Rel. int.
13.82  60
19.52  66
19.66  64
22.29  100
27.84  68
43.10  36



This entry pairs a crystal structure of NbSbF10 with its simulated X-ray diffraction stick pattern. Radiation: λ = 1.5418 Å (Cu Kα). Structure: the PBE geometry in Alexandria.
Peak positions follow from Bragg's law for the DFT cell and can differ from measured ones.

```
data_NbSbF10
_symmetry_space_group_name_H-M 'P 1'
_symmetry_Int_Tables_number 1
_cell_length_a 5.782
_cell_length_b 7.432
_cell_length_c 10.018
_cell_angle_alpha 88.47
_cell_angle_beta 74.35
_cell_angle_gamma 80.55
loop_
_symmetry_equiv_pos_as_xyz
'x,y,z'
loop_
_atom_site_label
_atom_site_type_symbol
_atom_site_fract_x
_atom_site_fract_y
_atom_site_fract_z
Nb1 Nb 0.158 0.376 0.220
Nb2 Nb 0.842 0.624 0.780
Sb1 Sb 0.463 0.237 0.692
Sb2 Sb 0.537 0.763 0.308
F1 F 0.017 0.209 0.149
F2 F 0.067 0.328 0.410
F3 F 0.170 0.559 0.086
F4 F 0.212 0.463 0.711
F5 F 0.219 0.096 0.697
F6 F 0.275 0.957 0.324
F7 F 0.311 0.584 0.310
F8 F 0.394 0.248 0.889
F9 F 0.470 0.731 0.501
F10 F 0.478 0.258 0.166
F11 F 0.522 0.742 0.834
F12 F 0.530 0.269 0.499
F13 F 0.606 0.752 0.111
F14 F 0.689 0.416 0.690
F15 F 0.725 0.043 0.676
F16 F 0.781 0.904 0.303
F17 F 0.788 0.537 0.289
F18 F 0.830 0.441 0.914
F19 F 0.933 0.672 0.590
F20 F 0.983 0.791 0.851
```

Main lines, low angle first (10° ≤ 2θ ≤ 90°):
2theta  Rel. int.
12.07  42
18.40  100
18.54  50
21.75  78
23.09  56
25.40  55



This entry pairs a crystal structure of NbSeF9 with its simulated X-ray diffraction stick pattern. Radiation: λ = 1.5418 Å (Cu Kα). Structure: the PBE geometry in Alexandria.
Peak positions follow from Bragg's law for the DFT cell and can differ from measured ones.

```
data_NbSeF9
_symmetry_space_group_name_H-M 'P 1'
_symmetry_Int_Tables_number 1
_cell_length_a 9.116
_cell_length_b 9.116
_cell_length_c 9.116
_cell_angle_alpha 93.22
_cell_angle_beta 93.22
_cell_angle_gamma 93.22
loop_
_symmetry_equiv_pos_as_xyz
'x,y,z'
loop_
_atom_site_label
_atom_site_type_symbol
_atom_site_fract_x
_atom_site_fract_y
_atom_site_fract_z
Nb1 Nb 0.000 0.000 0.000
Nb2 Nb 0.060 0.606 0.391
Nb3 Nb 0.391 0.060 0.606
Nb4 Nb 0.606 0.391 0.060
Se1 Se 0.148 0.454 0.945
Se2 Se 0.454 0.945 0.148
Se3 Se 0.512 0.512 0.512
Se4 Se 0.945 0.148 0.454
F1 F 0.012 0.392 0.418
F2 F 0.030 0.647 0.592
F3 F 0.045 0.948 0.805
F4 F 0.068 0.209 0.974
F5 F 0.103 0.539 0.186
F6 F 0.126 0.801 0.355
F7 F 0.186 0.103 0.539
F8 F 0.187 0.394 0.768
F9 F 0.209 0.634 0.920
F10 F 0.209 0.974 0.068
F11 F 0.268 0.561 0.444
F12 F 0.329 0.863 0.631
F13 F 0.355 0.126 0.801
F14 F 0.392 0.418 0.012
F15 F 0.394 0.768 0.187
F16 F 0.418 0.012 0.392
F17 F 0.444 0.268 0.561
F18 F 0.473 0.563 0.692
F19 F 0.485 0.892 0.967
F20 F 0.539 0.186 0.103
F21 F 0.561 0.444 0.268
F22 F 0.563 0.692 0.473
F23 F 0.592 0.030 0.647
F24 F 0.631 0.329 0.863
F25 F 0.634 0.920 0.209
F26 F 0.647 0.592 0.030
F27 F 0.692 0.473 0.563
F28 F 0.768 0.187 0.394
F29 F 0.801 0.355 0.126
F30 F 0.805 0.045 0.948
F31 F 0.863 0.631 0.329
F32 F 0.892 0.967 0.485
F33 F 0.920 0.209 0.634
F34 F 0.948 0.805 0.045
F35 F 0.967 0.485 0.892
F36 F 0.974 0.068 0.209
```

Main lines, low angle first (10° ≤ 2θ ≤ 90°):
2theta  Rel. int.
19.54  100
21.34  60
22.40  100
23.26  52
23.75  49
42.06  92